Structure and theoretical powder diffraction line list of GaHgICl4 (a structure optimized by DFT (PBE); Cu Ka).
Kinematic intensities with the Lorentz-polarization factor, no thermal factor.

Peak list (6 most intense, 10 to 90 degrees two-theta, by angle)
hkl 1 1 0, 11.4 deg, I 20; hkl 0 2 0, 15.3 deg, I 100; hkl 0 2 1, 17.7 deg, I 23; hkl 3 1 -2, 29.5 deg, I 35; hkl 3 1 2, 34.5 deg, I 26; hkl 3 3 -2, 37.0 deg, I 23

Crystal structure
a b c (Å): 10.617 11.549 10.308
angles (deg): 90.00 99.95 90.00
Space group C2/m (No. 12)
Asymmetric unit:
Ga 0.135 0.000 0.242 (multiplicity 4)
Hg 0.178 0.500 0.002 (multiplicity 4)
I 0.056 0.500 0.211 (multiplicity 4)
Cl 0.065 0.000 0.740 (multiplicity 4)
Cl 0.179 0.148 0.110 (multiplicity 8)
Cl 0.226 0.500 0.580 (multiplicity 4)


Structure and theoretical powder diffraction line list of Tb3Dy3Tl2 (a structure optimized by DFT (PBE); Cu Ka).
Kinematic intensities with the Lorentz-polarization factor, no thermal factor.

Peak list (6 most intense, 10 to 90 degrees two-theta, by angle)
hkl 1 1 2, 31.9 deg, I 100; hkl 2 0 0, 37.0 deg, I 50; hkl 2 2 0, 53.3 deg, I 36; hkl 1 3 2, 63.5 deg, I 28; hkl 3 1 2, 63.6 deg, I 14; hkl 3 3 2, 87.5 deg, I 18

Crystal structure
a b c (Å): 4.854 4.859 9.727
angles (deg): 90.00 90.00 90.00
Space group Pmmm (No. 47)
Asymmetric unit:
Tb 0.000 0.000 0.000 (multiplicity 1)
Tb 0.000 0.000 0.500 (multiplicity 1)
Tb 0.500 0.500 0.000 (multiplicity 1)
Dy 0.500 0.000 0.250 (multiplicity 2)
Dy 0.500 0.500 0.500 (multiplicity 1)
Tl 0.000 0.500 0.250 (multiplicity 2)


Structure and theoretical powder diffraction line list of ZnW2 (a structure optimized by DFT (PBE); Cu Ka).
Kinematic intensities with the Lorentz-polarization factor, no thermal factor.

Peak list (6 most intense, 10 to 90 degrees two-theta, by angle)
hkl 1 0 1, 20.9 deg, I 13; hkl 1 1 6, 40.2 deg, I 100; hkl 2 0 0, 41.5 deg, I 46; hkl 2 2 0, 60.1 deg, I 15; hkl 2 0 12, 72.1 deg, I 18; hkl 3 1 6, 74.8 deg, I 32

Crystal structure
a b c (Å): 4.352 4.352 19.697
angles (deg): 90.00 90.00 90.00
Space group I4_1/amd (No. 141, origin choice 2)
Asymmetric unit:
Zn 0.000 0.250 0.289 (multiplicity 8)
W 0.000 0.250 0.124 (multiplicity 8)
W 0.000 0.250 0.794 (multiplicity 8)


Structure and theoretical powder diffraction line list of BaAl2GaAu4 (a structure optimized by DFT (PBE); Cu Ka).
Kinematic intensities with the Lorentz-polarization factor, no thermal factor.

Peak list (6 most intense, 10 to 90 degrees two-theta, by angle)
hkl 0 1 2, 23.9 deg, I 26; hkl 1 0 4, 26.0 deg, I 45; hkl 1 0 7, 31.1 deg, I 75; hkl 0 1 8, 33.1 deg, I 53; hkl 0 1 11, 40.1 deg, I 55; hkl 1 1 0, 40.7 deg, I 100

Crystal structure
a b c (Å): 4.4368 4.4368 30.4575
angles (deg): 90.00 90.00 120.00
Space group R-3m (No. 166, hexagonal axes)
Asymmetric unit:
Ba 0.0000 0.0000 0.0000 (multiplicity 3)
Al 0.0000 0.0000 0.2385 (multiplicity 6)
Ga 0.0000 0.0000 0.5000 (multiplicity 3)
Au 0.0000 0.0000 0.1332 (multiplicity 6)
Au 0.0000 0.0000 0.4080 (multiplicity 6)


Structure and theoretical powder diffraction line list of SmSn2Pd6 (a structure optimized by DFT (PBE); Cu Ka).
Kinematic intensities with the Lorentz-polarization factor, no thermal factor.

Peak list (6 most intense, 10 to 90 degrees two-theta, by angle)
hkl 1 0 1, 22.3 deg, I 60; hkl 2 0 0, 37.2 deg, I 99; hkl 2 0 1, 39.4 deg, I 92; hkl 1 1 2, 41.3 deg, I 100; hkl 1 0 3, 42.8 deg, I 62; hkl 2 0 2, 45.5 deg, I 51

Crystal structure
a b c (Å): 5.5884 5.5884 7.0403
angles (deg): 90.00 90.00 120.00
Space group P6/mmm (No. 191)
Asymmetric unit:
Sm 0.0000 0.0000 0.0000 (multiplicity 1)
Sn 0.3333 0.6667 0.5000 (multiplicity 2)
Pd 0.0000 0.5000 0.1928 (multiplicity 6)


Structure and theoretical powder diffraction line list of CaTlRu3 (a structure optimized by DFT (PBE); Cu Ka).
Kinematic intensities with the Lorentz-polarization factor, no thermal factor.

Peak list (6 most intense, 10 to 90 degrees two-theta, by angle)
hkl 1 0 0, 17.6 deg, I 100; hkl 2 0 0, 35.7 deg, I 79; hkl 2 1 0, 40.0 deg, I 52; hkl 2 2 0, 51.3 deg, I 56; hkl 3 0 0, 54.7 deg, I 27; hkl 4 2 0, 86.4 deg, I 25

Crystal structure
a b c (Å): 5.035 5.035 5.035
angles (deg): 90.00 90.00 90.00
Space group Pm-3m (No. 221)
Asymmetric unit:
Ca 0.000 0.000 0.000 (multiplicity 1)
Tl 0.500 0.500 0.500 (multiplicity 1)
Ru 0.000 0.500 0.500 (multiplicity 3)